SrBi4Au2: calculated XRD peak list (Cu Kα (λ = 1.5418 Å)), based on the GGA-PBE geometry in OQMD.

Crystal structure
```
data_SrBi4Au2
_chemical_formula_sum 'Sr2 Bi8 Au4'
_space_group_name_H-M_alt 'P 1'
_space_group_IT_number 1
_space_group_name_Hall 'P 1'
_cell_length_a 13.3259
_cell_length_b 13.0380
_cell_length_c 5.9217
_cell_angle_alpha 79.75
_cell_angle_beta 74.32
_cell_angle_gamma 25.93
loop_
_atom_site_label
_atom_site_fract_x
_atom_site_fract_y
_atom_site_fract_z
Sr1 0.1250 0.1250 0.1250
Sr2 0.8750 0.8750 0.8750
Bi1 0.0877 0.5413 0.3344
Bi2 0.3344 0.5366 0.0877
Bi3 0.4587 0.9123 0.4634
Bi4 0.4634 0.6656 0.4587
Bi5 0.5366 0.3344 0.5413
Bi6 0.5413 0.0877 0.5366
Bi7 0.6656 0.4634 0.9123
Bi8 0.9123 0.4587 0.6656
Au1 0.0060 0.0060 0.7440
Au2 0.2560 0.2560 0.9940
Au3 0.7440 0.7440 0.0060
Au4 0.9940 0.9940 0.2560
```

Most intense lines, 10 to 90 degrees two-theta, low angle first:
14.2 deg, rel. 18.9
25.1 deg, rel. 36.1
28.9 deg, rel. 20.5
29.4 deg, rel. 86.4
31.7 deg, rel. 100.0
31.8 deg, rel. 22.0
35.9 deg, rel. 31.9
37.9 deg, rel. 27.9
39.3 deg, rel. 38.8
42.6 deg, rel. 42.9
49.1 deg, rel. 22.5
55.4 deg, rel. 19.8

---

NaNbFeTe3: calculated XRD peak list (Cu Kα (λ = 1.5418 Å)), based on the GGA-PBE geometry in OQMD.

Crystal structure
```
data_NaNbFeTe3
_chemical_formula_sum 'Na2 Nb2 Fe2 Te6'
_space_group_name_H-M_alt 'P 1'
_space_group_IT_number 1
_space_group_name_Hall 'P 1'
_cell_length_a 8.5302
_cell_length_b 3.7040
_cell_length_c 10.3125
_cell_angle_alpha 90.00
_cell_angle_beta 113.16
_cell_angle_gamma 90.00
loop_
_atom_site_label
_atom_site_fract_x
_atom_site_fract_y
_atom_site_fract_z
Na1 0.2178 0.2500 0.2107
Na2 0.7822 0.7500 0.7893
Nb1 0.2189 0.7500 0.6882
Nb2 0.7811 0.2500 0.3118
Fe1 0.4235 0.2500 0.9021
Fe2 0.5765 0.7500 0.0979
Te1 0.0639 0.7500 0.3802
Te2 0.2421 0.7500 0.9618
Te3 0.4414 0.2500 0.6550
Te4 0.5586 0.7500 0.3450
Te5 0.7579 0.2500 0.0382
Te6 0.9361 0.2500 0.6198
```

Most intense lines, 10 to 90 degrees two-theta, low angle first:
11.5 deg, rel. 100.0
26.6 deg, rel. 39.0
27.8 deg, rel. 38.9
28.2 deg, rel. 47.6
30.6 deg, rel. 21.6
32.0 deg, rel. 75.1
33.3 deg, rel. 34.5
42.3 deg, rel. 19.5
42.9 deg, rel. 26.2
43.3 deg, rel. 17.6
43.5 deg, rel. 43.8
49.2 deg, rel. 25.2

---

GdErAg2Te4: calculated XRD peak list (Cu Kα (λ = 1.5418 Å)), based on the GGA-PBE geometry in OQMD.

Crystal structure
```
data_GdErAg2Te4
_chemical_formula_sum 'Gd1 Er1 Ag2 Te4'
_space_group_name_H-M_alt 'P 1'
_space_group_IT_number 1
_space_group_name_Hall 'P 1'
_cell_length_a 7.1013
_cell_length_b 7.1013
_cell_length_c 4.7137
_cell_angle_alpha 90.00
_cell_angle_beta 90.00
_cell_angle_gamma 90.21
loop_
_atom_site_label
_atom_site_fract_x
_atom_site_fract_y
_atom_site_fract_z
Gd1 0.0000 0.0000 0.0000
Er1 0.5000 0.5000 0.3866
Ag1 0.0000 0.5000 0.1912
Ag2 0.5000 0.0000 0.1912
Te1 0.2043 0.7957 0.4843
Te2 0.3007 0.3007 0.9033
Te3 0.6993 0.6993 0.9033
Te4 0.7957 0.2043 0.4843
```

Most intense lines, 10 to 90 degrees two-theta, low angle first:
25.9 deg, rel. 100.0
28.1 deg, rel. 28.5
31.5 deg, rel. 56.3
34.0 deg, rel. 84.7
35.7 deg, rel. 41.7
35.8 deg, rel. 38.6
42.4 deg, rel. 39.2
42.7 deg, rel. 57.8
44.7 deg, rel. 19.0
51.5 deg, rel. 18.7
56.6 deg, rel. 16.5
73.6 deg, rel. 19.0

---

BaPrMgAs2: calculated XRD peak list (Cu Kα (λ = 1.5418 Å)), based on the GGA-PBE geometry in OQMD.

Crystal structure
```
data_BaPrMgAs2
_chemical_formula_sum 'Ba2 Pr2 Mg2 As4'
_space_group_name_H-M_alt 'P 1'
_space_group_IT_number 1
_space_group_name_Hall 'P 1'
_cell_length_a 9.2310
_cell_length_b 9.2310
_cell_length_c 7.2246
_cell_angle_alpha 90.00
_cell_angle_beta 90.00
_cell_angle_gamma 151.63
loop_
_atom_site_label
_atom_site_fract_x
_atom_site_fract_y
_atom_site_fract_z
Ba1 0.2002 0.7998 0.5000
Ba2 0.7998 0.2002 0.0000
Pr1 0.0274 0.9726 0.7982
Pr2 0.9726 0.0274 0.2982
Mg1 0.4026 0.5974 0.6357
Mg2 0.5974 0.4026 0.1357
As1 0.1624 0.8376 0.0378
As2 0.4455 0.5545 0.0023
As3 0.5545 0.4455 0.5023
As4 0.8376 0.1624 0.5378
```

Most intense lines, 10 to 90 degrees two-theta, low angle first:
20.2 deg, rel. 28.9
24.7 deg, rel. 24.6
26.6 deg, rel. 39.7
27.7 deg, rel. 52.7
31.9 deg, rel. 58.9
32.1 deg, rel. 21.8
32.5 deg, rel. 27.3
34.3 deg, rel. 15.3
35.2 deg, rel. 100.0
39.8 deg, rel. 32.9
48.6 deg, rel. 30.8
51.8 deg, rel. 20.7